(1)
CsBaPu2O8: simulated powder diffraction line list (CuKα), based on a structure optimized by DFT (PBE).
Neutral-atom scattering factors, no anomalous dispersion.

a b c (Å): 6.3850 6.3850 7.7421
angles (deg): 90.00 90.00 120.00
Space group P-3 (No. 147)
Unique sites:
Cs  0.0000  0.0000  0.0000
Ba  0.0000  0.0000  0.5000
Pu  0.3333  0.6667  0.4567
O  0.0634  0.4027  0.6134
O  0.3333  0.6667  0.2150

Principal peaks in the range 2θ from 5° to 70°, by angle:
(0 0 1), d 7.742, rel. 100
(0 1 1), d 4.500, rel. 44
(0 0 2), d 3.871, rel. 31
(1 1 0), d 3.193, rel. 73
(2 -1 1), d 2.951, rel. 39
(2 -1 2), d 2.463, rel. 55
(3 0 0), d 1.843, rel. 19
(0 3 1), d 1.793, rel. 13
(0 3 2), d 1.664, rel. 18
(2 2 2), d 1.476, rel. 12



(2)
Cd2TeSe: simulated powder diffraction line list (CuKα), based on a structure optimized by DFT (PBE).
Neutral-atom scattering factors, no anomalous dispersion.

a b c (Å): 4.534 4.534 6.389
angles (deg): 90.00 90.00 90.00
Space group P-4m2 (No. 115)
Unique sites:
Cd  0.000  0.500  0.233
Te  0.000  0.000  0.500
Se  0.500  0.500  0.000

Principal peaks in the range 2θ from 5° to 70°, by angle:
(1 0 1), d 3.698, rel. 100
(1 1 1), d 2.866, rel. 3
(1 0 2), d 2.612, rel. 2
(2 0 0), d 2.264, rel. 78
(2 1 1), d 1.933, rel. 32
(1 0 3), d 1.928, rel. 15
(2 2 0), d 1.603, rel. 9
(0 0 4), d 1.597, rel. 4
(3 0 1), d 1.471, rel. 6
(2 1 3), d 1.469, rel. 12



(3)
KNa2P3O9: simulated powder diffraction line list (CuKα), based on a structure optimized by DFT (PBE).
Neutral-atom scattering factors, no anomalous dispersion.

a b c (Å): 6.837 7.037 9.624
angles (deg): 87.01 70.56 75.63
Space group P-1 (No. 2)
Unique sites:
K  0.150  0.461  0.165
Na  0.231  0.921  0.833
Na  0.285  0.211  0.490
P  0.241  0.744  0.472
P  0.291  0.956  0.195
P  0.377  0.381  0.783
O  0.069  0.648  0.560
O  0.151  0.873  0.350
O  0.154  0.003  0.100
O  0.250  0.263  0.739
O  0.264  0.569  0.871
O  0.333  0.863  0.547
O  0.389  0.108  0.232
O  0.433  0.572  0.363
O  0.476  0.754  0.127

Principal peaks in the range 2θ from 5° to 70°, by angle:
(1 1 1), d 5.185, rel. 91
(1 2 0), d 3.357, rel. 27
(1 2 1), d 3.312, rel. 29
(0 2 -1), d 3.224, rel. 53
(2 0 0), d 3.125, rel. 55
(2 1 2), d 3.087, rel. 47
(0 0 3), d 3.023, rel. 100
(1 2 2), d 2.907, rel. 30
(0 2 -2), d 2.772, rel. 37
(2 2 1), d 2.739, rel. 66



(4)
TbZnCoGe2: simulated powder diffraction line list (CuKα), based on a structure optimized by DFT (PBE).
Neutral-atom scattering factors, no anomalous dispersion.

a b c (Å): 5.498 5.543 5.669
angles (deg): 90.00 90.00 90.00
Space group Pmma (No. 51)
Unique sites:
Tb  0.250  0.000  0.226
Zn  0.250  0.500  0.369
Co  0.000  0.500  0.000
Ge  0.250  0.242  0.747

Principal peaks in the range 2θ from 5° to 70°, by angle:
(1 1 1), d 3.215, rel. 18
(0 0 2), d 2.835, rel. 22
(2 0 0), d 2.749, rel. 34
(0 1 2), d 2.524, rel. 25
(2 1 0), d 2.463, rel. 12
(1 2 1), d 2.268, rel. 100
(2 1 1), d 2.259, rel. 14
(2 0 2), d 1.973, rel. 35
(1 2 3), d 1.502, rel. 13
(3 2 1), d 1.476, rel. 25